# 1
Computed X-ray diffraction stick pattern
Compound: RbSb2AuSe4
Radiation: a wavelength of 1.5418 Å
Structure: a crystal structure in Alexandria, relaxed with PBE

Atomic structure:
a b c (Å): 7.0857 7.0857 16.1412
angles (deg): 90.00 90.00 143.64
Element x y z (fractional)
Rb 0.1240 0.8760 0.7500
Rb 0.8760 0.1240 0.2500
Sb 0.3659 0.6341 0.5535
Sb 0.3659 0.6341 0.9465
Sb 0.6341 0.3659 0.0535
Sb 0.6341 0.3659 0.4465
Au 0.1486 0.8514 0.2500
Au 0.8514 0.1486 0.7500
Se 0.0000 0.0000 0.0000
Se 0.0000 0.0000 0.5000
Se 0.2674 0.7326 0.0948
Se 0.2674 0.7326 0.4052
Se 0.4240 0.5760 0.7500
Se 0.5760 0.4240 0.2500
Se 0.7326 0.2674 0.5948
Se 0.7326 0.2674 0.9052

Main lines, low angle first (5 to 70 degrees two-theta):
14.25 deg, 6.213 Å, I = 58.2; 22.03 deg, 4.035 Å, I = 31.3; 28.88 deg, 3.091 Å, I = 18.9; 30.47 deg, 2.934 Å, I = 100.0; 30.72 deg, 2.911 Å, I = 40.2; 33.30 deg, 2.690 Å, I = 21.5; 40.82 deg, 2.211 Å, I = 34.7; 42.76 deg, 2.115 Å, I = 38.7

=====

# 2
Computed X-ray diffraction stick pattern
Compound: RbSn2Sb2Au6
Radiation: a wavelength of 1.5418 Å
Structure: a crystal structure in Alexandria, relaxed with PBE

Atomic structure:
a b c (Å): 6.2319 6.9035 7.2509
angles (deg): 62.91 88.53 87.17
Element x y z (fractional)
Rb 0.0000 0.0000 0.0000
Sn 0.2134 0.6731 0.5506
Sn 0.7866 0.3269 0.4494
Sb 0.2398 0.4737 0.0541
Sb 0.7602 0.5263 0.9459
Au 0.2434 0.2889 0.4938
Au 0.4372 0.0522 0.2805
Au 0.4844 0.2896 0.8262
Au 0.5156 0.7104 0.1738
Au 0.5628 0.9478 0.7195
Au 0.7566 0.7111 0.5062

Main lines, low angle first (5 to 70 degrees two-theta):
14.23 deg, 6.224 Å, I = 100.0; 19.86 deg, 4.470 Å, I = 43.3; 30.26 deg, 2.954 Å, I = 43.3; 31.24 deg, 2.863 Å, I = 53.0; 31.70 deg, 2.822 Å, I = 53.9; 38.67 deg, 2.329 Å, I = 81.4; 39.96 deg, 2.256 Å, I = 85.8; 40.18 deg, 2.244 Å, I = 47.8

=====

# 3
Computed X-ray diffraction stick pattern
Compound: Rb2SnSbAu6
Radiation: a wavelength of 1.5418 Å
Structure: a crystal structure in Alexandria, relaxed with PBE

Atomic structure:
a b c (Å): 7.6145 7.6145 7.5874
angles (deg): 119.57 119.57 90.57
Element x y z (fractional)
Rb 0.2499 0.7501 0.0000
Rb 0.7501 0.2499 0.0000
Sn 0.0000 0.0000 0.5000
Sb 0.5000 0.5000 0.5000
Au 0.2494 0.2494 0.5001
Au 0.2495 0.7505 0.5000
Au 0.2496 0.2496 0.9990
Au 0.7504 0.7504 0.0010
Au 0.7505 0.2495 0.5000
Au 0.7506 0.7506 0.4999

Main lines, low angle first (5 to 70 degrees two-theta):
16.39 deg, 5.410 Å, I = 44.7; 16.55 deg, 5.357 Å, I = 21.9; 28.61 deg, 3.120 Å, I = 70.7; 28.74 deg, 3.106 Å, I = 69.9; 33.12 deg, 2.705 Å, I = 100.0; 33.45 deg, 2.679 Å, I = 48.7; 47.57 deg, 1.912 Å, I = 55.1; 47.78 deg, 1.904 Å, I = 36.2

=====

# 4
Computed X-ray diffraction stick pattern
Compound: RbYSb2Au2
Radiation: a wavelength of 1.5418 Å
Structure: a crystal structure in Alexandria, relaxed with PBE

Atomic structure:
a b c (Å): 4.6742 4.6742 9.5314
angles (deg): 90.00 90.00 120.00
Element x y z (fractional)
Rb 0.0000 0.0000 0.0000
Y 0.0000 0.0000 0.5000
Sb 0.3333 0.6667 0.7200
Sb 0.6667 0.3333 0.2800
Au 0.3333 0.6667 0.3331
Au 0.6667 0.3333 0.6669

Main lines, low angle first (5 to 70 degrees two-theta):
9.28 deg, 9.531 Å, I = 65.7; 28.09 deg, 3.177 Å, I = 24.3; 28.94 deg, 3.085 Å, I = 100.0; 35.93 deg, 2.499 Å, I = 28.8; 38.52 deg, 2.337 Å, I = 77.6; 48.35 deg, 1.883 Å, I = 33.5; 48.89 deg, 1.863 Å, I = 23.5; 63.90 deg, 1.457 Å, I = 21.0